Structure and theoretical powder XRD pattern of LiTlReO4 (a crystal structure in Alexandria, relaxed with PBE; a wavelength of 1.5418 Å).
Peak positions follow from Bragg's law for the DFT cell and can differ from measured ones.

Structure:
Unit cell a=6.0239 b=6.0239 c=7.7476 alpha=90.00 beta=90.00 gamma=90.00
Positions (direct):
Li 0.0000 0.0000 0.0000
Li 0.5000 0.5000 0.5000
Tl 0.0000 0.0000 0.5000
Tl 0.5000 0.5000 0.0000
Re 0.0000 0.5000 0.7500
Re 0.5000 0.0000 0.2500
O 0.1021 0.7457 0.8556
O 0.2457 0.3979 0.6444
O 0.2543 0.1021 0.1444
O 0.3979 0.7543 0.3556
O 0.6021 0.2457 0.3556
O 0.7457 0.8979 0.1444
O 0.7543 0.6021 0.6444
O 0.8979 0.2543 0.8556

Most intense lines, 10° ≤ 2θ ≤ 90°, by intensity:
(hkl)	two_theta	I/Imax
1 0 1	18.7	100
1 1 2	31.2	59
1 2 1	35.3	40
2 0 0	29.7	29
1 3 2	53.6	26
1 0 3	37.9	18